1.
Diffraction record for LuGaPd2. The powder XRD pattern is simulated, not measured: it uses DFT lattice parameters and positions (PBE) and copper Kα.
Peak positions follow from Bragg's law for the DFT cell and can differ from measured ones.

Structural model:
a = 6.5393 Å, b = 6.5393 Å, c = 6.5393 Å
α = 90.00°, β = 90.00°, γ = 90.00°
Space group Fm-3m (No. 225)
Symmetry-distinct sites (fractional):
Lu: 0.0000 0.0000 0.0000 (multiplicity 4)
Ga: 0.0000 0.0000 0.5000 (multiplicity 4)
Pd: 0.2500 0.2500 0.2500 (multiplicity 8)

Most intense lines, 2θ from 10° to 90°, by intensity:
2theta  I (rel.)  hkl
38.96  100  2 2 0
70.56  34  4 2 2
56.27  17  4 0 0
23.56  11  1 1 1
83.65  11  4 4 0
46.03  6  3 1 1


2.
Diffraction record for LuGaRh2. The powder XRD pattern is simulated, not measured: it uses DFT lattice parameters and positions (PBE) and copper Kα.
Peak positions follow from Bragg's law for the DFT cell and can differ from measured ones.

Structural model:
a = 6.3755 Å, b = 6.3755 Å, c = 6.3755 Å
α = 90.00°, β = 90.00°, γ = 90.00°
Space group Fm-3m (No. 225)
Symmetry-distinct sites (fractional):
Lu: 0.0000 0.0000 0.0000 (multiplicity 4)
Ga: 0.0000 0.0000 0.5000 (multiplicity 4)
Rh: 0.2500 0.2500 0.2500 (multiplicity 8)

Most intense lines, 2θ from 10° to 90°, by intensity:
2theta  I (rel.)  hkl
40.00  100  2 2 0
72.65  34  4 2 2
57.85  17  4 0 0
24.18  12  1 1 1
86.32  11  4 4 0
47.29  6  3 1 1


3.
Diffraction record for Lu3Ga8Rh3. The powder XRD pattern is simulated, not measured: it uses DFT lattice parameters and positions (PBE) and copper Kα.
Peak positions follow from Bragg's law for the DFT cell and can differ from measured ones.

Structural model:
a = 4.1917 Å, b = 9.9005 Å, c = 12.0836 Å
α = 90.00°, β = 90.00°, γ = 90.00°
Space group Immm (No. 71)
Symmetry-distinct sites (fractional):
Lu: 0.0000 0.0000 0.0000 (multiplicity 2)
Lu: 0.0000 0.0000 0.3252 (multiplicity 4)
Ga: 0.0000 0.2874 0.1270 (multiplicity 8)
Ga: 0.0000 0.3727 0.3395 (multiplicity 8)
Rh: 0.0000 0.2060 0.5000 (multiplicity 4)
Rh: 0.0000 0.5000 0.0000 (multiplicity 2)

Most intense lines, 2θ from 10° to 90°, by intensity:
2theta  I (rel.)  hkl
35.85  100  1 2 3
43.15  37  2 0 0
34.59  25  1 3 0
35.16  22  0 3 3
30.79  18  1 0 3
37.77  18  1 3 2